Simulated powder diffractogram of In2Sn2Hg3 for CuKα, from a structure optimized by DFT (PBE).
Peak positions follow from Bragg's law for the DFT cell and can differ from measured ones.

Top 6 peaks for 2θ = 10–80°, in order of falling intensity:
Position (°2θ)	I (rel.)	h k l
29.90	100	0 3 2
32.68	76	1 1 1
37.62	72	1 1 -4
28.93	55	0 2 3
33.44	45	1 2 -2
32.43	39	0 1 4

Crystal structure
Cell: 3.248 10.518 11.849 Å, 90.00 105.21 90.00°
Atoms (fractional coordinates):
In1 0.091 0.241 0.076
In2 0.091 0.259 0.576
In3 0.909 0.741 0.424
In4 0.909 0.759 0.924
Sn1 0.194 0.619 0.718
Sn2 0.194 0.881 0.218
Sn3 0.806 0.119 0.782
Sn4 0.806 0.381 0.282
Hg1 0.150 0.096 0.375
Hg2 0.150 0.404 0.875
Hg3 0.500 0.000 0.000
Hg4 0.500 0.500 0.500
Hg5 0.850 0.596 0.125
Hg6 0.850 0.904 0.625